The following is a theoretical powder XRD pattern of K2InSbI6. It was derived from a crystal structure in Alexandria, relaxed with PBE, using a wavelength of 1.5418 Å.
Intensities are scaled so that the largest is 100.

```
data_K2InSbI6
_cell_length_a 8.5984
_cell_length_b 8.5984
_cell_length_c 22.2542
_cell_angle_alpha 90.00
_cell_angle_beta 90.00
_cell_angle_gamma 120.00
_space_group_name_H-M_alt 'R 3'
_space_group_IT_number 146
_space_group_name_Hall 'R 3'
loop_
_atom_site_label
_atom_site_type_symbol
_atom_site_fract_x
_atom_site_fract_y
_atom_site_fract_z
K1 K 0.0000 0.0000 0.0000
K2 K 0.0000 0.0000 0.4921
In1 In 0.0000 0.0000 0.2032
Sb1 Sb 0.0000 0.0000 0.6985
I1 I 0.0141 0.4073 0.4426
I2 I 0.0744 0.7135 0.2823
```

The 10 most intense peaks (2θ from 15° to 90°), low angle first:
2θ/deg, I (rel.), (hkl)
23.9, 100, 1 1 3
28.9, 40, 0 2 4
31.9, 50, 2 -1 6
32.1, 16, 2 1 1
36.2, 27, 3 0 0
40.5, 11, 2 0 8
42.2, 19, 1 1 9
44.0, 14, 1 3 1
44.6, 14, 4 -1 2
56.3, 13, 3 2 4